LaAl2ZnCu2: computed XRD peak list (a wavelength of 1.5418 Å), based on a crystal structure in Alexandria, relaxed with GGA-PBE.
Kinematic intensities with the Lorentz-polarization factor, no thermal factor.

Principal peaks in the range 2θ = 10–90°, by angle:
| hkl | d [Å] | 2theta | I/Imax |
| --- | --- | --- | --- |
| 1 0 0 | 4.485 | 19.80 | 828 |
| 1 1 0 | 3.171 | 28.14 | 234 |
| 0 0 2 | 2.876 | 31.10 | 505 |
| 1 1 1 | 2.777 | 32.23 | 905 |
| 1 0 2 | 2.421 | 37.14 | 1000 |
| 2 0 0 | 2.242 | 40.22 | 933 |
| 2 0 2 | 1.768 | 51.69 | 470 |
| 2 1 2 | 1.645 | 55.89 | 598 |
| 2 2 0 | 1.586 | 58.18 | 303 |
| 2 0 4 | 1.210 | 79.12 | 237 |

```
6
Lattice="4.485 0.000 0.000 0.000 4.485 0.000 0.000 0.000 5.752" Properties=species:S:1:pos:R:3 pbc="T T T"
La 0.000 0.000 0.000
Al 2.242 2.242 1.411
Al 2.242 2.242 4.341
Zn 0.000 0.000 2.876
Cu 0.000 2.242 2.876
Cu 2.242 0.000 2.876
```